1.
The following is a computed XRD peak list of Sm4Mg3Pd2. It was derived from DFT lattice parameters and positions (GGA-PBE), using Cu Kα, 1.54184 Å.
No peak broadening, texture or thermal motion is included.

Principal peaks in the range 15° ≤ 2θ ≤ 90°, in order of falling intensity:
| Position (°2θ) | I (rel.) | index |
| --- | --- | --- |
| 32.33 | 100.0 | 0 1 2 |
| 33.58 | 89.5 | 2 1 -1 |
| 36.88 | 66.8 | 3 0 0 |
| 38.01 | 59.1 | 2 1 1 |
| 47.87 | 53.7 | 0 2 0 |
| 21.99 | 46.8 | 0 0 2 |
| 23.73 | 44.8 | 2 0 -1 |
| 36.76 | 42.5 | 2 1 -2 |

Structural model:
abc: 7.618 3.799 8.422
angles: 90.00 106.33 90.00
Space group P2/m (No. 10)
Unique sites:
Sm (0.066, 0.000, 0.211) [2 per cell]
Sm (0.388, 0.000, 0.682) [2 per cell]
Mg (0.000, 0.500, 0.500) [1 per cell]
Mg (0.300, 0.500, 0.010) [2 per cell]
Pd (0.331, 0.500, 0.381) [2 per cell]

2.
The following is a computed XRD peak list of Cu2Ag7. It was derived from DFT lattice parameters and positions (GGA-PBE), using Cu Kα, 1.54184 Å.
No peak broadening, texture or thermal motion is included.

Principal peaks in the range 15° ≤ 2θ ≤ 90°, in order of falling intensity:
| Position (°2θ) | I (rel.) | index |
| --- | --- | --- |
| 38.54 | 100.0 | 1 0 9 |
| 44.29 | 36.7 | 1 1 0 |
| 77.65 | 23.4 | 2 1 9 |
| 65.62 | 14.0 | 1 1 18 |
| 64.42 | 11.2 | 2 0 0 |
| 45.81 | 10.9 | 0 0 18 |
| 35.70 | 8.0 | 1 0 7 |
| 82.60 | 7.3 | 2 0 18 |

Structural model:
abc: 2.892 2.892 35.652
angles: 90.00 90.00 90.00
Space group I4/mmm (No. 139)
Unique sites:
Cu (0.000, 0.000, 0.051) [4 per cell]
Ag (0.000, 0.000, 0.161) [4 per cell]
Ag (0.000, 0.000, 0.280) [4 per cell]
Ag (0.000, 0.000, 0.398) [4 per cell]
Ag (0.000, 0.000, 0.500) [2 per cell]